# 1
Computed XRD peak list
Compound: Na2PmYO4
Radiation: Cu Kα
Structure: a PBE-relaxed structure

Main lines, sorted by position (2θ = 15–90°):
2θ = 15.8°, intensity 92.5; 2θ = 30.0°, intensity 46.7; 2θ = 31.4°, intensity 59.4; 2θ = 31.9°, intensity 20.1; 2θ = 36.6°, intensity 100.0; 2θ = 48.3°, intensity 17.8; 2θ = 52.3°, intensity 33.8; 2θ = 53.0°, intensity 30.6; 2θ = 55.0°, intensity 21.1; 2θ = 62.6°, intensity 19.0

Cell and atoms:
Unit cell a=5.962 b=3.496 c=6.056 alpha=90.00 beta=109.77 gamma=90.00
Sites, in units of the cell vectors:
Na: 0.000 0.000 0.000
Na: 0.000 0.500 0.500
Pm: 0.500 0.000 0.500
Y: 0.500 0.500 0.000
O: 0.286 0.500 0.255
O: 0.287 0.000 0.769
O: 0.713 0.000 0.231
O: 0.714 0.500 0.745



# 2
Computed XRD peak list
Compound: Ba2SrAs
Radiation: Cu Kα
Structure: a PBE-relaxed structure

Main lines, sorted by position (2θ = 15–90°):
2θ = 22.0°, intensity 29.8; 2θ = 23.5°, intensity 68.0; 2θ = 28.9°, intensity 100.0; 2θ = 31.2°, intensity 38.5; 2θ = 35.6°, intensity 92.3; 2θ = 48.0°, intensity 22.9; 2θ = 49.7°, intensity 17.6; 2θ = 54.1°, intensity 17.0; 2θ = 58.4°, intensity 16.7; 2θ = 66.5°, intensity 18.1

Cell and atoms:
Unit cell a=4.188 b=5.738 c=15.144 alpha=90.00 beta=90.00 gamma=90.00
Sites, in units of the cell vectors:
Ba: 0.000 0.000 0.000
Ba: 0.000 0.500 0.163
Ba: 0.500 0.000 0.663
Ba: 0.500 0.500 0.500
Sr: 0.000 0.500 0.836
Sr: 0.500 0.000 0.336
As: 0.000 0.000 0.494
As: 0.500 0.500 0.994



# 3
Computed XRD peak list
Compound: H2Pb3S3
Radiation: Cu Kα
Structure: a PBE-relaxed structure

Main lines, sorted by position (2θ = 15–90°):
2θ = 21.7°, intensity 29.2; 2θ = 21.9°, intensity 71.9; 2θ = 25.5°, intensity 16.8; 2θ = 25.8°, intensity 29.3; 2θ = 31.3°, intensity 28.9; 2θ = 32.1°, intensity 100.0; 2θ = 35.8°, intensity 39.8; 2θ = 42.6°, intensity 27.2; 2θ = 43.8°, intensity 18.8; 2θ = 48.0°, intensity 27.7

Cell and atoms:
Unit cell a=4.131 b=4.433 c=11.329 alpha=90.61 beta=100.37 gamma=90.00
Sites, in units of the cell vectors:
H: 0.226 0.371 0.444
H: 0.774 0.629 0.556
Pb: 0.370 0.874 0.767
Pb: 0.500 0.500 0.000
Pb: 0.630 0.126 0.233
S: 0.000 0.000 0.000
S: 0.176 0.498 0.334
S: 0.824 0.502 0.666



# 4
Computed XRD peak list
Compound: Ce2Al6CuAu
Radiation: Cu Kα
Structure: a PBE-relaxed structure

Main lines, sorted by position (2θ = 15–90°):
2θ = 16.5°, intensity 31.2; 2θ = 22.3°, intensity 31.0; 2θ = 29.5°, intensity 59.2; 2θ = 32.6°, intensity 100.0; 2θ = 34.0°, intensity 64.7; 2θ = 42.2°, intensity 48.0; 2θ = 47.4°, intensity 37.2; 2θ = 54.3°, intensity 46.9; 2θ = 61.2°, intensity 17.4; 2θ = 65.3°, intensity 27.0

Cell and atoms:
Unit cell a=4.286 b=4.286 c=10.728 alpha=90.00 beta=90.00 gamma=90.00
Sites, in units of the cell vectors:
Ce: 0.000 0.000 0.000
Ce: 0.500 0.500 0.490
Al: 0.000 0.000 0.397
Al: 0.000 0.500 0.245
Al: 0.000 0.500 0.759
Al: 0.500 0.000 0.245
Al: 0.500 0.000 0.759
Al: 0.500 0.500 0.912
Cu: 0.500 0.500 0.133
Au: 0.000 0.000 0.629